[1]
This entry pairs a crystal structure of CeMgZr7O16 with its simulated powder diffraction line list. Radiation: CuKα. Structure: DFT lattice parameters and positions (GGA-PBE).
Peak positions follow from Bragg's law for the DFT cell and can differ from measured ones.

Structure:
```
data_CeMgZr7O16
_space_group_name_H-M_alt 'P 1'
_space_group_IT_number 1
_space_group_name_Hall 'P 1'
_cell_length_a 7.4868
_cell_length_b 7.4868
_cell_length_c 5.4681
_cell_angle_alpha 90.00
_cell_angle_beta 90.00
_cell_angle_gamma 90.00
loop_
_atom_site_label
_atom_site_type_symbol
_atom_site_fract_x
_atom_site_fract_y
_atom_site_fract_z
Ce1 Ce 0.0000 0.0000 0.0000
Mg1 Mg 0.0000 0.0000 0.5000
Zr1 Zr 0.0000 0.5000 0.9881
Zr2 Zr 0.2688 0.2688 0.5000
Zr3 Zr 0.2688 0.7312 0.5000
Zr4 Zr 0.5000 0.0000 0.0119
Zr5 Zr 0.5000 0.5000 0.0000
Zr6 Zr 0.7312 0.2688 0.5000
Zr7 Zr 0.7312 0.7312 0.5000
O1 O 0.0000 0.2281 0.6664
O2 O 0.0000 0.2805 0.2015
O3 O 0.0000 0.7195 0.2015
O4 O 0.0000 0.7719 0.6664
O5 O 0.2281 0.0000 0.3336
O6 O 0.2305 0.5000 0.7786
O7 O 0.2805 0.0000 0.7985
O8 O 0.2916 0.5000 0.2856
O9 O 0.5000 0.2305 0.2214
O10 O 0.5000 0.2916 0.7144
O11 O 0.5000 0.7084 0.7144
O12 O 0.5000 0.7695 0.2214
O13 O 0.7084 0.5000 0.2856
O14 O 0.7195 0.0000 0.7985
O15 O 0.7695 0.5000 0.7786
O16 O 0.7719 0.0000 0.3336
```

Peak list (8 most intense, 2θ from 10° to 90°, low angle first)
28.90°, d 3.089, intensity 100; 32.76°, d 2.734, intensity 11; 33.86°, d 2.647, intensity 17; 47.83°, d 1.902, intensity 40; 48.65°, d 1.872, intensity 20; 56.12°, d 1.639, intensity 15; 57.58°, d 1.601, intensity 25; 77.40°, d 1.233, intensity 10

=====

[2]
This entry pairs a crystal structure of Sn2Mo with its simulated powder diffraction line list. Radiation: CuKα. Structure: DFT lattice parameters and positions (GGA-PBE).
Peak positions follow from Bragg's law for the DFT cell and can differ from measured ones.

Structure:
```
data_Sn2Mo
_space_group_name_H-M_alt 'P 1'
_space_group_IT_number 1
_space_group_name_Hall 'P 1'
_cell_length_a 5.5439
_cell_length_b 5.5439
_cell_length_c 14.3419
_cell_angle_alpha 90.00
_cell_angle_beta 90.00
_cell_angle_gamma 120.00
loop_
_atom_site_label
_atom_site_type_symbol
_atom_site_fract_x
_atom_site_fract_y
_atom_site_fract_z
Sn1 Sn 0.0000 0.5000 0.0635
Sn2 Sn 0.0000 0.5000 0.2699
Sn3 Sn 0.1677 0.3354 0.5000
Sn4 Sn 0.1677 0.8323 0.8333
Sn5 Sn 0.3354 0.1677 0.1667
Sn6 Sn 0.5000 0.0000 0.3968
Sn7 Sn 0.5000 0.0000 0.6032
Sn8 Sn 0.5000 0.5000 0.7301
Sn9 Sn 0.5000 0.5000 0.9365
Sn10 Sn 0.6646 0.8323 0.1667
Sn11 Sn 0.8323 0.1677 0.8333
Sn12 Sn 0.8323 0.6646 0.5000
Mo1 Mo 0.0000 0.0000 0.0000
Mo2 Mo 0.0000 0.0000 0.3333
Mo3 Mo 0.0000 0.0000 0.6667
Mo4 Mo 0.0000 0.5000 0.6667
Mo5 Mo 0.5000 0.0000 0.0000
Mo6 Mo 0.5000 0.5000 0.3333
```

Peak list (8 most intense, 2θ from 10° to 90°, low angle first)
31.13°, d 2.873, intensity 33; 32.91°, d 2.722, intensity 61; 34.70°, d 2.585, intensity 76; 36.49°, d 2.462, intensity 86; 37.47°, d 2.400, intensity 54; 42.12°, d 2.145, intensity 100; 60.36°, d 1.534, intensity 40; 67.59°, d 1.386, intensity 36

=====

[3]
This entry pairs a crystal structure of AlHO2 with its simulated powder diffraction line list. Radiation: CuKα. Structure: DFT lattice parameters and positions (GGA-PBE).
Peak positions follow from Bragg's law for the DFT cell and can differ from measured ones.

Structure:
```
data_AlHO2
_space_group_name_H-M_alt 'P 1'
_space_group_IT_number 1
_space_group_name_Hall 'P 1'
_cell_length_a 9.4987
_cell_length_b 2.8716
_cell_length_c 4.4215
_cell_angle_alpha 90.00
_cell_angle_beta 90.00
_cell_angle_gamma 90.00
loop_
_atom_site_label
_atom_site_type_symbol
_atom_site_fract_x
_atom_site_fract_y
_atom_site_fract_z
Al1 Al 0.1440 0.2500 0.0459
Al2 Al 0.3560 0.7500 0.5459
Al3 Al 0.6440 0.2500 0.4541
Al4 Al 0.8560 0.7500 0.9541
H1 H 0.0892 0.7500 0.5868
H2 H 0.4108 0.2500 0.0868
H3 H 0.5892 0.7500 0.9132
H4 H 0.9108 0.2500 0.4132
O1 O 0.0539 0.7500 0.8023
O2 O 0.1980 0.7500 0.2906
O3 O 0.3020 0.2500 0.7906
O4 O 0.4461 0.2500 0.3023
O5 O 0.5539 0.7500 0.6977
O6 O 0.6980 0.7500 0.2094
O7 O 0.8020 0.2500 0.7094
O8 O 0.9461 0.2500 0.1977
```

Peak list (8 most intense, 2θ from 10° to 90°, low angle first)
22.18°, d 4.008, intensity 100; 34.85°, d 2.574, intensity 25; 38.57°, d 2.334, intensity 67; 42.07°, d 2.148, intensity 48; 43.25°, d 2.092, intensity 49; 55.95°, d 1.644, intensity 54; 62.25°, d 1.492, intensity 27; 67.57°, d 1.386, intensity 22

=====

[4]
This entry pairs a crystal structure of MgAl3SiBO9 with its simulated powder diffraction line list. Radiation: CuKα. Structure: DFT lattice parameters and positions (GGA-PBE).
Peak positions follow from Bragg's law for the DFT cell and can differ from measured ones.

Structure:
```
data_MgAl3SiBO9
_space_group_name_H-M_alt 'P 1'
_space_group_IT_number 1
_space_group_name_Hall 'P 1'
_cell_length_a 11.1012
_cell_length_b 5.8167
_cell_length_c 10.4348
_cell_angle_alpha 90.00
_cell_angle_beta 90.00
_cell_angle_gamma 90.00
loop_
_atom_site_label
_atom_site_type_symbol
_atom_site_fract_x
_atom_site_fract_y
_atom_site_fract_z
Mg1 Mg 0.2188 0.2500 0.0927
Mg2 Mg 0.2812 0.7500 0.5927
Mg3 Mg 0.7188 0.2500 0.4073
Mg4 Mg 0.7812 0.7500 0.9073
Al1 Al 0.0000 0.0000 0.0000
Al2 Al 0.0000 0.0000 0.5000
Al3 Al 0.0000 0.5000 0.0000
Al4 Al 0.0000 0.5000 0.5000
Al5 Al 0.0521 0.7500 0.7264
Al6 Al 0.4479 0.2500 0.2264
Al7 Al 0.5000 0.0000 0.0000
Al8 Al 0.5000 0.0000 0.5000
Al9 Al 0.5000 0.5000 0.0000
Al10 Al 0.5000 0.5000 0.5000
Al11 Al 0.5521 0.7500 0.7736
Al12 Al 0.9479 0.2500 0.2736
Si1 Si 0.2363 0.7500 0.9339
Si2 Si 0.2637 0.2500 0.4339
Si3 Si 0.7363 0.7500 0.5661
Si4 Si 0.7637 0.2500 0.0661
B1 B 0.9995 0.2500 0.7488
B2 B 0.0005 0.7500 0.2512
B3 B 0.4995 0.2500 0.7512
B4 B 0.5005 0.7500 0.2488
O1 O 0.0015 0.5454 0.3194
O2 O 0.0015 0.9546 0.3194
O3 O 0.0036 0.2500 0.8785
O4 O 0.0223 0.2500 0.1186
O5 O 0.0997 0.7500 0.5469
O6 O 0.1204 0.2500 0.4738
O7 O 0.1704 0.5221 0.9928
O8 O 0.1704 0.9779 0.9928
O9 O 0.2116 0.7500 0.7750
O10 O 0.2884 0.2500 0.2750
O11 O 0.3296 0.0221 0.4928
O12 O 0.3296 0.4779 0.4928
O13 O 0.3796 0.7500 0.9738
O14 O 0.4003 0.2500 0.0469
O15 O 0.4777 0.7500 0.6186
O16 O 0.4964 0.7500 0.3785
O17 O 0.4985 0.0454 0.8194
O18 O 0.4985 0.4546 0.8194
O19 O 0.5015 0.5454 0.1806
O20 O 0.5015 0.9546 0.1806
O21 O 0.5036 0.2500 0.6215
O22 O 0.5223 0.2500 0.3814
O23 O 0.5997 0.7500 0.9531
O24 O 0.6204 0.2500 0.0262
O25 O 0.6704 0.5221 0.5072
O26 O 0.6704 0.9779 0.5072
O27 O 0.7116 0.7500 0.7250
O28 O 0.7884 0.2500 0.2250
O29 O 0.8296 0.0221 0.0072
O30 O 0.8296 0.4779 0.0072
O31 O 0.8796 0.7500 0.5262
O32 O 0.9003 0.2500 0.4531
O33 O 0.9777 0.7500 0.8814
O34 O 0.9964 0.7500 0.1215
O35 O 0.9985 0.0454 0.6806
O36 O 0.9985 0.4546 0.6806
```

Peak list (8 most intense, 2θ from 10° to 90°, low angle first)
15.97°, d 5.551, intensity 100; 16.99°, d 5.217, intensity 91; 17.46°, d 5.081, intensity 100; 23.74°, d 3.748, intensity 33; 29.91°, d 2.987, intensity 22; 32.26°, d 2.775, intensity 59; 41.27°, d 2.187, intensity 31; 62.19°, d 1.493, intensity 25

=====

[5]
This entry pairs a crystal structure of Rb2Mo9Se10 with its simulated powder diffraction line list. Radiation: CuKα. Structure: DFT lattice parameters and positions (GGA-PBE).
Peak positions follow from Bragg's law for the DFT cell and can differ from measured ones.

Structure:
```
data_Rb2Mo9Se10
_space_group_name_H-M_alt 'P 1'
_space_group_IT_number 1
_space_group_name_Hall 'P 1'
_cell_length_a 14.0511
_cell_length_b 14.0511
_cell_length_c 14.0511
_cell_angle_alpha 40.51
_cell_angle_beta 40.51
_cell_angle_gamma 40.51
loop_
_atom_site_label
_atom_site_type_symbol
_atom_site_fract_x
_atom_site_fract_y
_atom_site_fract_z
Rb1 Rb 0.0764 0.0764 0.0764
Rb2 Rb 0.2048 0.2048 0.2048
Rb3 Rb 0.7952 0.7952 0.7952
Rb4 Rb 0.9236 0.9236 0.9236
Mo1 Mo 0.1859 0.4987 0.3737
Mo2 Mo 0.2620 0.3957 0.5795
Mo3 Mo 0.3036 0.6182 0.4891
Mo4 Mo 0.3737 0.1859 0.4987
Mo5 Mo 0.3818 0.5109 0.6964
Mo6 Mo 0.3957 0.5795 0.2620
Mo7 Mo 0.4205 0.7380 0.6043
Mo8 Mo 0.4891 0.3036 0.6182
Mo9 Mo 0.4987 0.3737 0.1859
Mo10 Mo 0.5013 0.6263 0.8141
Mo11 Mo 0.5109 0.6964 0.3818
Mo12 Mo 0.5795 0.2620 0.3957
Mo13 Mo 0.6043 0.4205 0.7380
Mo14 Mo 0.6182 0.4891 0.3036
Mo15 Mo 0.6263 0.8141 0.5013
Mo16 Mo 0.6964 0.3818 0.5109
Mo17 Mo 0.7380 0.6043 0.4205
Mo18 Mo 0.8141 0.5013 0.6263
Se1 Se 0.0668 0.3176 0.6865
Se2 Se 0.0855 0.7031 0.4456
Se3 Se 0.1791 0.4319 0.8027
Se4 Se 0.1973 0.8209 0.5681
Se5 Se 0.2969 0.5544 0.9145
Se6 Se 0.3003 0.3003 0.3003
Se7 Se 0.3135 0.9332 0.6824
Se8 Se 0.3176 0.6865 0.0668
Se9 Se 0.4319 0.8027 0.1791
Se10 Se 0.4456 0.0855 0.7031
Se11 Se 0.5544 0.9145 0.2969
Se12 Se 0.5681 0.1973 0.8209
Se13 Se 0.6824 0.3135 0.9332
Se14 Se 0.6865 0.0668 0.3176
Se15 Se 0.6997 0.6997 0.6997
Se16 Se 0.7031 0.4456 0.0855
Se17 Se 0.8027 0.1791 0.4319
Se18 Se 0.8209 0.5681 0.1973
Se19 Se 0.9145 0.2969 0.5544
Se20 Se 0.9332 0.6824 0.3135
```

Peak list (8 most intense, 2θ from 10° to 90°, low angle first)
10.75°, d 8.232, intensity 100; 11.46°, d 7.723, intensity 12; 27.71°, d 3.219, intensity 14; 28.11°, d 3.174, intensity 13; 33.71°, d 2.659, intensity 12; 42.09°, d 2.147, intensity 13; 42.73°, d 2.116, intensity 43; 50.88°, d 1.795, intensity 13